1.
Structure and simulated powder X-ray diffraction pattern of HfPIO2 (a structure optimized by DFT (GGA-PBE); λ = 1.5418 Å (Cu Kα)).
Peak positions follow from Bragg's law for the DFT cell and can differ from measured ones.

Most intense lines, 2θ = 10–90°, in order of falling intensity:
| 2θ/deg | intensity | hkl |
| --- | --- | --- |
| 26.88 | 100 | 1 0 1 |
| 31.43 | 41 | 1 1 0 |
| 30.53 | 34 | 0 0 2 |
| 44.39 | 32 | 1 1 2 |
| 53.24 | 31 | 2 1 1 |
| 55.40 | 24 | 2 0 2 |
| 45.05 | 22 | 2 0 0 |
| 52.08 | 17 | 1 0 3 |
| 71.27 | 13 | 2 1 3 |
| 82.67 | 11 | 3 1 2 |

Cell and atoms:
```
data_HfPIO2
_chemical_formula_sum 'Hf1 P1 I1 O2'
_cell_length_a 4.025
_cell_length_b 4.025
_cell_length_c 5.855
_cell_angle_alpha 90.00
_cell_angle_beta 90.00
_cell_angle_gamma 90.00
_symmetry_space_group_name_H-M 'P 4/m m m'
_symmetry_Int_Tables_number 123
_symmetry_space_group_name_Hall '-P 4 2'
loop_
_atom_site_label
_atom_site_type_symbol
_atom_site_fract_x
_atom_site_fract_y
_atom_site_fract_z
Hf1 Hf 0.000 0.000 0.000
P1 P 0.000 0.000 0.500
I1 I 0.500 0.500 0.500
O1 O 0.000 0.500 0.000
```

=====

2.
Structure and simulated powder X-ray diffraction pattern of PuHfI6 (a structure optimized by DFT (GGA-PBE); λ = 1.5418 Å (Cu Kα)).
Peak positions follow from Bragg's law for the DFT cell and can differ from measured ones.

Most intense lines, 2θ = 10–90°, in order of falling intensity:
| 2θ/deg | intensity | hkl |
| --- | --- | --- |
| 28.12 | 100 | 1 3 1 |
| 12.56 | 66 | 0 2 0 |
| 16.00 | 63 | 1 1 -1 |
| 29.67 | 46 | 2 0 -2 |
| 41.24 | 35 | 3 3 -1 |
| 41.43 | 35 | 1 3 -3 |
| 21.60 | 21 | 1 1 1 |
| 38.30 | 20 | 0 6 0 |
| 49.18 | 19 | 2 6 -2 |
| 42.01 | 16 | 2 0 2 |

Cell and atoms:
```
data_PuHfI6
_chemical_formula_sum 'Pu2 Hf2 I12'
_cell_length_a 7.423
_cell_length_b 14.099
_cell_length_c 7.379
_cell_angle_alpha 90.00
_cell_angle_beta 108.92
_cell_angle_gamma 90.00
_symmetry_space_group_name_H-M 'C 1 2/m 1'
_symmetry_Int_Tables_number 12
loop_
_symmetry_equiv_pos_as_xyz
'x,y,z'
'-x,-y,-z'
'-x,y,-z'
'x,-y,z'
'x+1/2,y+1/2,z'
'-x+1/2,-y+1/2,-z'
'-x+1/2,y+1/2,-z'
'x+1/2,-y+1/2,z'
loop_
_atom_site_label
_atom_site_type_symbol
_atom_site_fract_x
_atom_site_fract_y
_atom_site_fract_z
Pu1 Pu 0.000 0.000 0.000
Hf1 Hf 0.000 0.500 0.500
I1 I 0.227 0.351 0.733
I2 I 0.240 0.500 0.266
```

=====

3.
Structure and simulated powder X-ray diffraction pattern of RbHfI (a structure optimized by DFT (GGA-PBE); λ = 1.5418 Å (Cu Kα)).
Peak positions follow from Bragg's law for the DFT cell and can differ from measured ones.

Most intense lines, 2θ = 10–90°, in order of falling intensity:
| 2θ/deg | intensity | hkl |
| --- | --- | --- |
| 31.15 | 100 | 1 1 0 |
| 30.13 | 72 | 0 1 3 |
| 13.43 | 61 | 0 0 2 |
| 28.52 | 45 | 1 0 -3 |
| 45.13 | 30 | 0 2 0 |
| 34.78 | 24 | 1 1 2 |
| 32.28 | 23 | 1 1 1 |
| 36.37 | 21 | 1 1 -3 |
| 45.33 | 20 | 1 1 -5 |
| 40.46 | 19 | 1 1 -4 |

Cell and atoms:
```
data_RbHfI
_chemical_formula_sum 'Rb2 Hf2 I2'
_cell_length_a 4.117
_cell_length_b 4.020
_cell_length_c 13.231
_cell_angle_alpha 90.00
_cell_angle_beta 94.70
_cell_angle_gamma 90.00
_symmetry_space_group_name_H-M 'P 1 m 1'
_symmetry_Int_Tables_number 6
loop_
_symmetry_equiv_pos_as_xyz
'x,y,z'
'x,-y,z'
loop_
_atom_site_label
_atom_site_type_symbol
_atom_site_fract_x
_atom_site_fract_y
_atom_site_fract_z
Rb1 Rb 0.000 0.000 0.000
Rb2 Rb 0.093 0.000 0.353
Hf1 Hf 0.180 0.000 0.652
Hf2 Hf 0.658 0.500 0.598
I1 I 0.452 0.500 0.816
I2 I 0.544 0.500 0.169
```

=====

4.
Structure and simulated powder X-ray diffraction pattern of Rb2Hf3I9 (a structure optimized by DFT (GGA-PBE); λ = 1.5418 Å (Cu Kα)).
Peak positions follow from Bragg's law for the DFT cell and can differ from measured ones.

Most intense lines, 2θ = 10–90°, in order of falling intensity:
| 2θ/deg | intensity | hkl |
| --- | --- | --- |
| 31.77 | 100 | 1 5 2 |
| 10.06 | 98 | 1 1 -1 |
| 28.24 | 94 | 2 4 1 |
| 27.62 | 84 | 3 1 -3 |
| 36.60 | 63 | 4 0 -4 |
| 44.28 | 53 | 5 5 -2 |
| 43.98 | 43 | 2 4 -5 |
| 26.05 | 41 | 0 0 3 |
| 39.85 | 39 | 2 6 2 |
| 34.94 | 38 | 2 6 1 |

Cell and atoms:
```
data_Rb2Hf3I9
_chemical_formula_sum 'Rb8 Hf12 I36'
_cell_length_a 11.960
_cell_length_b 19.719
_cell_length_c 11.343
_cell_angle_alpha 90.00
_cell_angle_beta 115.21
_cell_angle_gamma 90.00
_symmetry_space_group_name_H-M 'C 1 2/m 1'
_symmetry_Int_Tables_number 12
loop_
_symmetry_equiv_pos_as_xyz
'x,y,z'
'-x,-y,-z'
'-x,y,-z'
'x,-y,z'
'x+1/2,y+1/2,z'
'-x+1/2,-y+1/2,-z'
'-x+1/2,y+1/2,-z'
'x+1/2,-y+1/2,z'
loop_
_atom_site_label
_atom_site_type_symbol
_atom_site_fract_x
_atom_site_fract_y
_atom_site_fract_z
Rb1 Rb 0.107 0.163 0.329
Hf1 Hf 0.126 0.417 0.132
Hf2 Hf 0.126 0.500 0.868
I1 I 0.000 0.295 0.000
I2 I 0.017 0.398 0.314
I3 I 0.187 0.000 0.674
I4 I 0.199 0.196 0.681
I5 I 0.201 0.104 0.984
I6 I 0.226 0.000 0.290
```

=====

5.
Structure and simulated powder X-ray diffraction pattern of Rb2HfZnI6 (a structure optimized by DFT (GGA-PBE); λ = 1.5418 Å (Cu Kα)).
Peak positions follow from Bragg's law for the DFT cell and can differ from measured ones.

Most intense lines, 2θ = 10–90°, in order of falling intensity:
| 2θ/deg | intensity | hkl |
| --- | --- | --- |
| 28.72 | 100 | 4 0 0 |
| 41.06 | 71 | 4 4 0 |
| 24.80 | 64 | 2 2 2 |
| 14.24 | 44 | 2 0 0 |
| 12.33 | 28 | 1 1 1 |
| 67.35 | 28 | 8 4 0 |
| 48.56 | 25 | 6 2 2 |
| 50.87 | 24 | 4 4 4 |
| 32.19 | 21 | 4 2 0 |
| 74.81 | 19 | 8 4 4 |

Cell and atoms:
```
data_Rb2HfZnI6
_chemical_formula_sum 'Rb8 Hf4 Zn4 I24'
_cell_length_a 12.435
_cell_length_b 12.435
_cell_length_c 12.435
_cell_angle_alpha 90.00
_cell_angle_beta 90.00
_cell_angle_gamma 90.00
_symmetry_space_group_name_H-M 'F m -3 m'
_symmetry_Int_Tables_number 225
_symmetry_space_group_name_Hall '-F 4 2 3'
loop_
_atom_site_label
_atom_site_type_symbol
_atom_site_fract_x
_atom_site_fract_y
_atom_site_fract_z
Rb1 Rb 0.250 0.250 0.250
Hf1 Hf 0.000 0.000 0.000
Zn1 Zn 0.000 0.000 0.500
I1 I 0.000 0.000 0.230
```

=====

6.
Structure and simulated powder X-ray diffraction pattern of HfTh2Se2I4 (a structure optimized by DFT (GGA-PBE); λ = 1.5418 Å (Cu Kα)).
Peak positions follow from Bragg's law for the DFT cell and can differ from measured ones.

Most intense lines, 2θ = 10–90°, in order of falling intensity:
| 2θ/deg | intensity | hkl |
| --- | --- | --- |
| 10.84 | 100 | 0 0 3 |
| 30.40 | 79 | 1 0 4 |
| 32.36 | 62 | 0 1 5 |
| 26.59 | 53 | 1 0 0 |
| 46.94 | 46 | 1 1 0 |
| 34.62 | 34 | 0 1 6 |
| 37.14 | 31 | 1 0 7 |
| 28.79 | 22 | 0 1 3 |
| 48.32 | 18 | 1 1 3 |
| 39.88 | 18 | 1 0 8 |

Cell and atoms:
```
data_HfTh2Se2I4
_chemical_formula_sum 'Hf1 Th2 Se2 I4'
_cell_length_a 3.8717
_cell_length_b 3.8717
_cell_length_c 24.4856
_cell_angle_alpha 90.00
_cell_angle_beta 90.00
_cell_angle_gamma 120.00
_symmetry_space_group_name_H-M 'P 3 m 1'
_symmetry_Int_Tables_number 156
loop_
_symmetry_equiv_pos_as_xyz
'x,y,z'
'-y,x-y,z'
'-x+y,-x,z'
'-y,-x,z'
'-x+y,y,z'
'x,x-y,z'
loop_
_atom_site_label
_atom_site_type_symbol
_atom_site_fract_x
_atom_site_fract_y
_atom_site_fract_z
Hf1 Hf 0.0000 0.0000 0.0000
Th1 Th 0.0000 0.0000 0.6666
Th2 Th 0.6667 0.3333 0.3094
Se1 Se 0.6667 0.3333 0.0669
Se2 Se 0.6667 0.3333 0.9334
I1 I 0.0000 0.0000 0.2155
I2 I 0.0000 0.0000 0.4040
I3 I 0.6667 0.3333 0.5720
I4 I 0.6667 0.3333 0.7607
```

=====

7.
Structure and simulated powder X-ray diffraction pattern of HfTiI2 (a structure optimized by DFT (GGA-PBE); λ = 1.5418 Å (Cu Kα)).
Peak positions follow from Bragg's law for the DFT cell and can differ from measured ones.

Most intense lines, 2θ = 10–90°, in order of falling intensity:
| 2θ/deg | intensity | hkl |
| --- | --- | --- |
| 36.05 | 100 | 2 2 0 |
| 64.82 | 35 | 4 2 2 |
| 51.90 | 17 | 4 0 0 |
| 21.85 | 17 | 1 1 1 |
| 87.56 | 16 | 6 2 0 |
| 76.47 | 11 | 4 4 0 |
| 42.55 | 10 | 3 1 1 |
| 56.96 | 4 | 3 3 1 |
| 80.67 | 3 | 5 3 1 |
| 69.29 | 3 | 5 1 1 |

Cell and atoms:
```
data_HfTiI2
_chemical_formula_sum 'Hf4 Ti4 I8'
_cell_length_a 7.047
_cell_length_b 7.047
_cell_length_c 7.047
_cell_angle_alpha 90.00
_cell_angle_beta 90.00
_cell_angle_gamma 90.00
_symmetry_space_group_name_H-M 'F m -3 m'
_symmetry_Int_Tables_number 225
_symmetry_space_group_name_Hall '-F 4 2 3'
loop_
_atom_site_label
_atom_site_type_symbol
_atom_site_fract_x
_atom_site_fract_y
_atom_site_fract_z
Hf1 Hf 0.000 0.000 0.000
Ti1 Ti 0.000 0.000 0.500
I1 I 0.250 0.250 0.250
```

=====

8.
Structure and simulated powder X-ray diffraction pattern of HfTiI (a structure optimized by DFT (GGA-PBE); λ = 1.5418 Å (Cu Kα)).
Peak positions follow from Bragg's law for the DFT cell and can differ from measured ones.

Most intense lines, 2θ = 10–90°, in order of falling intensity:
| 2θ/deg | intensity | hkl |
| --- | --- | --- |
| 35.26 | 100 | 2 0 0 |
| 25.92 | 68 | 1 1 -1 |
| 39.92 | 58 | 1 1 -4 |
| 40.09 | 56 | 1 1 4 |
| 34.16 | 43 | 1 1 3 |
| 34.01 | 41 | 1 1 -3 |
| 50.72 | 35 | 2 2 0 |
| 23.08 | 20 | 0 0 3 |
| 36.13 | 17 | 2 0 -1 |
| 85.26 | 16 | 2 4 0 |

Cell and atoms:
```
data_HfTiI
_chemical_formula_sum 'Hf4 Ti4 I4'
_cell_length_a 5.091
_cell_length_b 5.091
_cell_length_c 11.560
_cell_angle_alpha 90.00
_cell_angle_beta 90.34
_cell_angle_gamma 90.00
_symmetry_space_group_name_H-M 'C 1 2/m 1'
_symmetry_Int_Tables_number 12
loop_
_symmetry_equiv_pos_as_xyz
'x,y,z'
'-x,-y,-z'
'-x,y,-z'
'x,-y,z'
'x+1/2,y+1/2,z'
'-x+1/2,-y+1/2,-z'
'-x+1/2,y+1/2,-z'
'x+1/2,-y+1/2,z'
loop_
_atom_site_label
_atom_site_type_symbol
_atom_site_fract_x
_atom_site_fract_y
_atom_site_fract_z
Hf1 Hf 0.249 0.000 0.429
Ti1 Ti 0.247 0.500 0.295
I1 I 0.246 0.000 0.161
```